Starting from a GGA-PBE-relaxed structure, the powder X-ray diffraction pattern of Ta4AlC3 was calculated for a wavelength of 1.5418 Å.
Kinematic intensities with the Lorentz-polarization factor, no thermal factor.

Principal peaks in the range 2θ = 5–70°, by angle:
- 2θ 7.16, I 27
- 2θ 14.35, I 10
- 2θ 33.29, I 21
- 2θ 35.08, I 13
- 2θ 36.40, I 21
- 2θ 38.08, I 100
- 2θ 50.15, I 15
- 2θ 59.49, I 21
- 2θ 59.59, I 12
- 2θ 66.62, I 13

Cell and atoms:
Lattice parameters (Å, degrees): 3.1075 3.1075 24.6820 90.00 90.00 120.00
Space group P6_3/mmc (No. 194)
One atom of each set of equivalent atoms:
Ta (0.3333, 0.6667, 0.0546) x4
Ta (0.3333, 0.6667, 0.6592) x4
Al (0.3333, 0.6667, 0.2500) x2
C (0.0000, 0.0000, 0.0000) x2
C (0.0000, 0.0000, 0.1103) x4

=====

Starting from a GGA-PBE-relaxed structure, the powder X-ray diffraction pattern of Ba2LuMgRuO6 was calculated for a wavelength of 1.5418 Å.
Kinematic intensities with the Lorentz-polarization factor, no thermal factor.

Principal peaks in the range 2θ = 5–70°, by angle:
- 2θ 18.00, I 14
- 2θ 28.82, I 100
- 2θ 29.57, I 39
- 2θ 30.60, I 36
- 2θ 32.82, I 25
- 2θ 43.07, I 43
- 2θ 45.00, I 17
- 2θ 45.49, I 19
- 2θ 52.00, I 21
- 2θ 53.30, I 19

Cell and atoms:
Lattice parameters (Å, degrees): 5.8429 6.0424 9.1742 90.00 90.00 90.00
Space group Immm (No. 71)
One atom of each set of equivalent atoms:
Ba (0.0000, 0.0000, 0.1913) x4
Lu (0.0000, 0.5000, 0.0000) x2
Mg (0.0000, 0.0000, 0.5000) x2
Ru (0.0000, 0.5000, 0.5000) x2
O (0.0000, 0.5000, 0.2610) x4
O (0.2336, 0.2410, 0.5000) x8

=====

Starting from a GGA-PBE-relaxed structure, the powder X-ray diffraction pattern of CoC6N6 was calculated for a wavelength of 1.5418 Å.
Kinematic intensities with the Lorentz-polarization factor, no thermal factor.

Principal peaks in the range 2θ = 5–70°, by angle:
- 2θ 14.70, I 16
- 2θ 15.01, I 100
- 2θ 21.07, I 68
- 2θ 30.13, I 68
- 2θ 30.29, I 8
- 2θ 33.83, I 8
- 2θ 39.95, I 21
- 2θ 43.25, I 10
- 2θ 46.15, I 11
- 2θ 50.94, I 14

Cell and atoms:
Lattice parameters (Å, degrees): 6.8143 6.8143 6.0255 90.00 90.00 120.00
Space group P-31m (No. 162)
One atom of each set of equivalent atoms:
Co (0.0000, 0.0000, 0.0000) x1
C (0.0000, 0.2183, 0.8105) x6
N (0.0000, 0.3609, 0.6989) x6

=====

Starting from a GGA-PBE-relaxed structure, the powder X-ray diffraction pattern of KPb2Cl5 was calculated for a wavelength of 1.5418 Å.
Kinematic intensities with the Lorentz-polarization factor, no thermal factor.

Principal peaks in the range 2θ = 5–70°, by angle:
- 2θ 16.12, I 99
- 2θ 21.20, I 51
- 2θ 23.56, I 92
- 2θ 24.03, I 99
- 2θ 24.47, I 100
- 2θ 32.57, I 94
- 2θ 35.18, I 42
- 2θ 36.68, I 40
- 2θ 40.07, I 36
- 2θ 43.06, I 67

Cell and atoms:
Lattice parameters (Å, degrees): 12.3834 8.3812 9.0020 90.00 90.00 90.00
Space group Pna2_1 (No. 33)
One atom of each set of equivalent atoms:
K (0.1758, 0.0286, 0.0000) x4
Pb (0.0042, 0.5837, 0.2436) x4
Pb (0.1784, 0.9904, 0.5102) x4
Cl (0.0035, 0.0496, 0.7381) x4
Cl (0.0823, 0.6820, 0.5328) x4
Cl (0.0956, 0.6518, 0.9478) x4
Cl (0.1919, 0.3602, 0.2255) x4
Cl (0.2244, 0.3148, 0.7604) x4

=====

Starting from a GGA-PBE-relaxed structure, the powder X-ray diffraction pattern of RbTh3F13 was calculated for a wavelength of 1.5418 Å.
Kinematic intensities with the Lorentz-polarization factor, no thermal factor.

Principal peaks in the range 2θ = 5–70°, by angle:
- 2θ 15.55, I 38
- 2θ 18.93, I 36
- 2θ 23.57, I 76
- 2θ 24.61, I 100
- 2θ 25.80, I 84
- 2θ 26.67, I 66
- 2θ 29.80, I 48
- 2θ 43.49, I 56
- 2θ 45.11, I 82
- 2θ 51.60, I 33

Cell and atoms:
Lattice parameters (Å, degrees): 8.2531 7.5209 8.7296 90.00 90.00 90.00
Space group Pmc2_1 (No. 26)
One atom of each set of equivalent atoms:
Rb (0.0000, 0.1052, 0.0000) x2
Th (0.2475, 0.3967, 0.3603) x4
Th (0.5000, 0.1083, 0.6950) x2
F (0.0000, 0.2282, 0.3272) x2
F (0.0000, 0.4394, 0.8494) x2
F (0.1985, 0.4525, 0.0984) x4
F (0.2449, 0.1759, 0.5502) x4
F (0.3066, 0.1145, 0.2386) x4
F (0.3265, 0.3051, 0.8289) x4
F (0.5000, 0.0338, 0.9602) x2
F (0.5000, 0.3610, 0.5166) x2
F (0.5000, 0.4020, 0.2382) x2

=====

Starting from a GGA-PBE-relaxed structure, the powder X-ray diffraction pattern of Ho2OsRh was calculated for a wavelength of 1.5418 Å.
Kinematic intensities with the Lorentz-polarization factor, no thermal factor.

Principal peaks in the range 2θ = 5–70°, by angle:
- 2θ 22.62, I 4
- 2θ 37.36, I 100
- 2θ 44.12, I 2
- 2θ 53.87, I 18
- 2θ 59.16, I 1
- 2θ 67.39, I 36

Cell and atoms:
Lattice parameters (Å, degrees): 6.8075 6.8075 6.8075 90.00 90.00 90.00
Space group Fm-3m (No. 225)
One atom of each set of equivalent atoms:
Ho (0.2500, 0.2500, 0.2500) x8
Os (0.0000, 0.0000, 0.0000) x4
Rh (0.0000, 0.0000, 0.5000) x4

=====

Starting from a GGA-PBE-relaxed structure, the powder X-ray diffraction pattern of ZrPbO3 was calculated for a wavelength of 1.5418 Å.
Kinematic intensities with the Lorentz-polarization factor, no thermal factor.

Principal peaks in the range 2θ = 5–70°, by angle:
- 2θ 20.90, I 8
- 2θ 29.57, I 15
- 2θ 29.93, I 100
- 2θ 30.52, I 7
- 2θ 42.55, I 17
- 2θ 43.15, I 12
- 2θ 53.12, I 20
- 2θ 53.38, I 8
- 2θ 55.64, I 8
- 2θ 62.18, I 12

Cell and atoms:
Lattice parameters (Å, degrees): 6.0423 11.9561 8.3861 90.00 90.00 90.00
Space group Pba2 (No. 32)
One atom of each set of equivalent atoms:
Zr (0.2409, 0.1195, 0.0000) x4
Zr (0.2414, 0.1198, 0.4980) x4
Pb (0.1907, 0.3631, 0.2636) x4
Pb (0.1923, 0.3578, 0.7628) x4
O (0.0000, 0.0000, 0.0029) x2
O (0.0000, 0.0000, 0.4786) x2
O (0.0000, 0.5000, 0.0024) x2
O (0.0000, 0.5000, 0.4593) x2
O (0.0334, 0.2594, 0.9769) x4
O (0.0465, 0.2645, 0.5005) x4
O (0.2102, 0.6241, 0.7436) x4
O (0.2164, 0.6495, 0.2447) x4

=====

Starting from a GGA-PBE-relaxed structure, the powder X-ray diffraction pattern of YMg6Mo was calculated for a wavelength of 1.5418 Å.
Kinematic intensities with the Lorentz-polarization factor, no thermal factor.

Principal peaks in the range 2θ = 5–70°, by angle:
- 2θ 15.73, I 30
- 2θ 16.14, I 100
- 2θ 23.76, I 21
- 2θ 32.60, I 50
- 2θ 33.02, I 31
- 2θ 35.83, I 47
- 2θ 36.58, I 83
- 2θ 37.33, I 98
- 2θ 39.52, I 21
- 2θ 49.22, I 30

Cell and atoms:
Lattice parameters (Å, degrees): 5.0128 6.2909 11.2705 90.00 90.00 90.00
Space group Amm2 (No. 38)
One atom of each set of equivalent atoms:
Y (0.0000, 0.0000, 0.0000) x2
Mg (0.0000, 0.0000, 0.5219) x2
Mg (0.0000, 0.2377, 0.7659) x4
Mg (0.5000, 0.0000, 0.3597) x2
Mg (0.5000, 0.2471, 0.6148) x4
Mo (0.5000, 0.0000, 0.8731) x2

=====

Starting from a GGA-PBE-relaxed structure, the powder X-ray diffraction pattern of ErAl was calculated for a wavelength of 1.5418 Å.
Kinematic intensities with the Lorentz-polarization factor, no thermal factor.

Principal peaks in the range 2θ = 5–70°, by angle:
- 2θ 17.12, I 22
- 2θ 21.89, I 35
- 2θ 27.15, I 39
- 2θ 32.04, I 50
- 2θ 32.49, I 100
- 2θ 35.24, I 23
- 2θ 35.54, I 35
- 2θ 35.67, I 88
- 2θ 39.13, I 36
- 2θ 59.46, I 27

Cell and atoms:
Lattice parameters (Å, degrees): 5.8221 11.3267 5.5874 90.00 90.00 90.00
Space group Pbcm (No. 57)
One atom of each set of equivalent atoms:
Er (0.1016, 0.1672, 0.2500) x4
Er (0.3390, 0.0159, 0.7500) x4
Al (0.1606, 0.5984, 0.7500) x4
Al (0.4337, 0.7500, 0.0000) x4